For Pr3InGe2, a crystal structure in Alexandria, relaxed with GGA-PBE gives the computed X-ray diffraction stick pattern in this record (Cu Kα (weighted mean of Kα1 and Kα2)).

```
Pr3InGe2
1.0
4.026 2.324 6.504
-4.026 2.324 6.504
0.000 -4.649 6.504
Pr In Ge
6 2 4
direct
0.047 0.750 0.453
0.250 0.547 0.953
0.453 0.047 0.750
0.547 0.953 0.250
0.750 0.453 0.047
0.953 0.250 0.547
0.000 0.000 0.000
0.500 0.500 0.500
0.150 0.150 0.150
0.350 0.350 0.350
0.650 0.650 0.650
0.850 0.850 0.850
```

Principal peaks in the range 2θ = 5–70°, sorted by position:
| two_theta | I_rel |
| --- | --- |
| 26.0 | 100 |
| 27.2 | 10 |
| 34.3 | 9 |
| 35.5 | 70 |
| 38.7 | 57 |
| 47.3 | 15 |
| 47.6 | 19 |
| 53.5 | 19 |
| 62.7 | 11 |
| 68.0 | 14 |

For UFeCo2As2, a crystal structure in Alexandria, relaxed with GGA-PBE gives the computed X-ray diffraction stick pattern in this record (Cu Kα (weighted mean of Kα1 and Kα2)).

```
UFeCo2As2
1.0
3.820 0.000 0.000
0.000 6.154 0.000
0.000 0.000 7.474
U Fe Co As
2 2 4 4
direct
0.000 0.151 0.000
0.000 0.849 0.500
0.500 0.198 0.389
0.500 0.802 0.889
0.000 0.299 0.622
0.000 0.701 0.122
0.500 0.427 0.081
0.500 0.573 0.581
0.000 0.414 0.325
0.000 0.586 0.825
0.500 0.115 0.705
0.500 0.885 0.205
```

Principal peaks in the range 2θ = 5–70°, sorted by position:
| two_theta | I_rel |
| --- | --- |
| 23.3 | 20 |
| 30.0 | 38 |
| 31.4 | 30 |
| 33.5 | 25 |
| 36.7 | 60 |
| 39.0 | 43 |
| 39.5 | 100 |
| 45.9 | 34 |
| 47.6 | 34 |
| 63.2 | 22 |

For Pr2NdEr4, a crystal structure in Alexandria, relaxed with GGA-PBE gives the computed X-ray diffraction stick pattern in this record (Cu Kα (weighted mean of Kα1 and Kα2)).

```
Pr2NdEr4
1.0
6.770 0.000 0.000
3.385 8.285 0.000
3.378 0.214 8.292
Pr Nd Er
4 2 8
direct
0.000 0.000 0.000
0.001 0.500 0.500
0.338 0.028 0.527
0.893 0.972 0.473
0.338 0.527 0.028
0.893 0.473 0.973
0.329 0.251 0.750
0.330 0.750 0.249
0.334 0.150 0.150
0.336 0.650 0.650
0.633 0.850 0.851
0.636 0.351 0.350
0.773 0.251 0.751
0.774 0.750 0.250
```

Principal peaks in the range 2θ = 5–70°, sorted by position:
| two_theta | I_rel |
| --- | --- |
| 26.1 | 16 |
| 30.4 | 100 |
| 30.6 | 47 |
| 30.9 | 56 |
| 33.9 | 34 |
| 34.2 | 47 |
| 43.9 | 18 |
| 54.6 | 15 |
| 56.1 | 19 |
| 56.7 | 24 |